Record 1
Starting from the GGA-PBE geometry in Alexandria, the powder XRD pattern of TiS2O8 was computed for Cu Kα (λ = 1.5418 Å).
Intensities are scaled so that the largest is 100.

Cell and atoms:
a = 8.4318 Å, b = 8.4318 Å, c = 23.0702 Å
α = 90.00°, β = 90.00°, γ = 120.00°
Space group R3 (No. 146, hexagonal axes)
One atom of each set of equivalent atoms:
1 Ti 0.0000 0.0000 0.0000 [3 per cell]
2 Ti 0.0000 0.0000 0.2014 [3 per cell]
3 Ti 0.0000 0.0000 0.7015 [3 per cell]
4 S 0.0003 0.7178 0.5991 [9 per cell]
5 S 0.0488 0.3711 0.7663 [9 per cell]
6 O 0.0201 0.2151 0.4425 [9 per cell]
7 O 0.0278 0.8284 0.2520 [9 per cell]
8 O 0.0460 0.2051 0.0510 [9 per cell]
9 O 0.0667 0.8391 0.5510 [9 per cell]
10 O 0.0813 0.2150 0.7496 [9 per cell]
11 O 0.1473 0.6806 0.6218 [9 per cell]
12 O 0.1705 0.4562 0.8187 [9 per cell]
13 O 0.1815 0.7298 0.3165 [9 per cell]

Peak list (10 most intense, 2θ from 10° to 90°, low angle first)
d/Å	intensity
6.962	9
6.170	53
4.526	17
3.845	11
3.697	100
3.085	26
2.841	28
2.740	11
1.848	9
1.770	9



Record 2
Starting from the GGA-PBE geometry in Alexandria, the powder XRD pattern of Na2PtC2O6 was computed for Cu Kα (λ = 1.5418 Å).
Intensities are scaled so that the largest is 100.

Cell and atoms:
a = 10.783 Å, b = 5.011 Å, c = 5.828 Å
α = 90.00°, β = 118.35°, γ = 90.00°
Space group C2/m (No. 12)
One atom of each set of equivalent atoms:
1 Na 0.205 0.000 0.214 [4 per cell]
2 Pt 0.000 0.000 0.500 [2 per cell]
3 C 0.007 0.500 0.748 [4 per cell]
4 O 0.084 0.279 0.790 [8 per cell]
5 O 0.122 0.500 0.323 [4 per cell]

Peak list (10 most intense, 2θ from 10° to 90°, low angle first)
d/Å	intensity
5.129	84
4.800	89
4.745	100
4.431	74
3.795	56
3.036	66
2.896	81
2.696	43
2.470	60
2.392	45



Record 3
Starting from the GGA-PBE geometry in Alexandria, the powder XRD pattern of YZr2Pd2 was computed for Cu Kα (λ = 1.5418 Å).
Intensities are scaled so that the largest is 100.

Cell and atoms:
a = 7.876 Å, b = 7.876 Å, c = 3.422 Å
α = 90.00°, β = 90.00°, γ = 90.00°
Space group P4/mbm (No. 127)
One atom of each set of equivalent atoms:
1 Y 0.000 0.000 0.000 [2 per cell]
2 Zr 0.166 0.334 0.500 [4 per cell]
3 Pd 0.126 0.626 0.000 [4 per cell]

Peak list (10 most intense, 2θ from 10° to 90°, low angle first)
d/Å	intensity
5.569	9
2.583	22
2.491	52
2.454	100
2.184	9
1.841	11
1.711	11
1.410	17
1.408	11
1.345	15



Record 4
Starting from the GGA-PBE geometry in Alexandria, the powder XRD pattern of Dy3Ag4Hg2 was computed for Cu Kα (λ = 1.5418 Å).
Intensities are scaled so that the largest is 100.

Cell and atoms:
a = 14.195 Å, b = 11.268 Å, c = 5.299 Å
α = 90.00°, β = 100.71°, γ = 90.00°
Space group C2/c (No. 15)
One atom of each set of equivalent atoms:
1 Dy 0.000 0.131 0.250 [4 per cell]
2 Dy 0.166 0.378 0.077 [8 per cell]
3 Ag 0.054 0.382 0.521 [8 per cell]
4 Ag 0.226 0.130 0.369 [8 per cell]
5 Hg 0.114 0.126 0.810 [8 per cell]

Peak list (10 most intense, 2θ from 10° to 90°, low angle first)
d/Å	intensity
2.817	76
2.602	63
2.579	60
2.418	100
2.179	37
2.165	36
1.723	18
1.717	17
1.537	24
1.480	21



Record 5
Starting from the GGA-PBE geometry in Alexandria, the powder XRD pattern of Ba2Ni2Ge2N was computed for Cu Kα (λ = 1.5418 Å).
Intensities are scaled so that the largest is 100.

Cell and atoms:
a = 12.404 Å, b = 4.109 Å, c = 7.568 Å
α = 90.00°, β = 126.82°, γ = 90.00°
Space group C2/m (No. 12)
One atom of each set of equivalent atoms:
1 Ba 0.056 0.000 0.301 [4 per cell]
2 Ni 0.167 0.500 0.744 [4 per cell]
3 Ge 0.209 0.500 0.101 [4 per cell]
4 N 0.000 0.500 0.500 [2 per cell]

Peak list (10 most intense, 2θ from 10° to 90°, low angle first)
d/Å	intensity
3.792	46
3.029	40
3.018	51
2.911	100
2.687	93
2.673	44
2.578	79
2.437	43
2.054	68
1.634	42



Record 6
Starting from the GGA-PBE geometry in Alexandria, the powder XRD pattern of La8Ho6Tm was computed for Cu Kα (λ = 1.5418 Å).
Intensities are scaled so that the largest is 100.

Cell and atoms:
a = 9.4241 Å, b = 9.4241 Å, c = 6.6843 Å
α = 90.00°, β = 90.00°, γ = 120.00°
Space group P-3 (No. 147)
One atom of each set of equivalent atoms:
1 La 0.0438 0.7512 0.1678 [6 per cell]
2 La 0.3333 0.6667 0.1195 [2 per cell]
3 Ho 0.0979 0.6619 0.6502 [6 per cell]
4 Tm 0.0000 0.0000 0.5000 [1 per cell]

Peak list (10 most intense, 2θ from 10° to 90°, low angle first)
d/Å	intensity
3.483	26
3.088	68
2.801	100
2.725	82
1.874	14
1.804	27
1.781	13
1.587	16
1.504	21
1.433	15



Record 7
Starting from the GGA-PBE geometry in Alexandria, the powder XRD pattern of Pr4BI5 was computed for Cu Kα (λ = 1.5418 Å).
Intensities are scaled so that the largest is 100.

Cell and atoms:
a = 19.615 Å, b = 4.232 Å, c = 9.013 Å
α = 90.00°, β = 102.84°, γ = 90.00°
Space group C2/m (No. 12)
One atom of each set of equivalent atoms:
1 Pr 0.001 0.000 0.298 [4 per cell]
2 Pr 0.140 0.500 0.572 [4 per cell]
3 B 0.000 0.500 0.500 [2 per cell]
4 I 0.000 0.500 0.000 [2 per cell]
5 I 0.166 0.000 0.844 [4 per cell]
6 I 0.172 0.000 0.324 [4 per cell]

Peak list (10 most intense, 2θ from 10° to 90°, low angle first)
d/Å	intensity
8.788	16
3.421	17
3.187	47
3.142	19
3.085	100
2.839	25
2.223	31
2.211	30
2.116	19
1.763	19



Record 8
Starting from the GGA-PBE geometry in Alexandria, the powder XRD pattern of Ag3SeF2 was computed for Cu Kα (λ = 1.5418 Å).
Intensities are scaled so that the largest is 100.

Cell and atoms:
a = 5.286 Å, b = 10.942 Å, c = 7.406 Å
α = 90.00°, β = 90.05°, γ = 90.00°
Space group P2_1/c (No. 14)
One atom of each set of equivalent atoms:
1 Ag 0.249 0.081 0.380 [4 per cell]
2 Ag 0.250 0.085 0.854 [4 per cell]
3 Ag 0.250 0.744 0.358 [4 per cell]
4 Se 0.250 0.573 0.618 [4 per cell]
5 F 0.250 0.217 0.618 [4 per cell]
6 F 0.250 0.611 0.104 [4 per cell]

Peak list (10 most intense, 2θ from 10° to 90°, low angle first)
d/Å	intensity
3.033	35
3.002	39
2.643	56
2.599	100
1.853	86
1.824	16
1.563	13
1.516	16
1.501	16
1.178	15